Entry 1:
Diffraction record for UTeSe. The PXRD pattern is simulated, not measured: it uses a DFT-relaxed cell (GGA-PBE, the Materials Project) and Cu Kα, 1.54184 Å.
No peak broadening, texture or thermal motion is included.

Atomic structure:
```
data_UTeSe
_symmetry_space_group_name_H-M 'P n m a'
_symmetry_Int_Tables_number 62
_symmetry_space_group_name_Hall '-P 2ac 2n'
_cell_length_a 7.351
_cell_length_b 3.959
_cell_length_c 11.383
_cell_angle_alpha 90.00
_cell_angle_beta 90.00
_cell_angle_gamma 90.00
loop_
_atom_site_label
_atom_site_type_symbol
_atom_site_fract_x
_atom_site_fract_y
_atom_site_fract_z
_atom_site_occupancy
U1 U 0.166 0.250 0.166 1
Te1 Te 0.223 0.750 0.959 1
Se1 Se 0.054 0.250 0.725 1
```

Principal peaks in the range 2θ = 15–90°, in order of rising 2θ:
2θ (°)	I (rel.)	h k l
19.7	38	1 0 2
23.8	39	0 1 1
30.1	35	1 1 2
33.3	33	2 1 0
33.8	62	1 0 4
34.2	51	2 1 1
35.0	100	1 1 3
36.9	39	2 1 2
45.8	29	0 2 0
46.4	33	3 1 2

Entry 2:
Diffraction record for NaLaTa2O9. The PXRD pattern is simulated, not measured: it uses a DFT-relaxed cell (GGA-PBE, the Materials Project) and Cu Kα, 1.54184 Å.
No peak broadening, texture or thermal motion is included.

Atomic structure:
```
data_NaLaTa2O9
_symmetry_space_group_name_H-M 'I m m 2'
_symmetry_Int_Tables_number 44
_symmetry_space_group_name_Hall 'I 2 -2'
_cell_length_a 3.931
_cell_length_b 3.951
_cell_length_c 25.280
_cell_angle_alpha 90.00
_cell_angle_beta 90.00
_cell_angle_gamma 90.00
loop_
_atom_site_label
_atom_site_type_symbol
_atom_site_fract_x
_atom_site_fract_y
_atom_site_fract_z
_atom_site_occupancy
Na1 Na 0.000 0.000 0.000 1
La1 La 0.000 0.000 0.755 1
Ta1 Ta 0.000 0.000 0.166 1
Ta2 Ta 0.000 0.000 0.344 1
O1 O 0.000 0.000 0.094 1
O2 O 0.000 0.000 0.255 1
O3 O 0.000 0.000 0.415 1
O4 O 0.000 0.500 0.183 1
O5 O 0.000 0.500 0.327 1
O6 O 0.000 0.500 0.548 1
O7 O 0.000 0.500 0.682 1
O8 O 0.000 0.500 0.827 1
O9 O 0.000 0.500 0.960 1
```

Principal peaks in the range 2θ = 15–90°, in order of rising 2θ:
2θ (°)	I (rel.)	h k l
21.1	16	0 0 6
22.8	20	0 1 1
22.9	16	1 0 1
24.9	17	0 1 3
28.7	100	1 0 5
32.1	40	1 1 0
32.9	23	1 1 2
33.7	40	0 1 7
54.6	22	1 1 12
55.1	19	1 2 5

Entry 3:
Diffraction record for ErCu2Si2. The PXRD pattern is simulated, not measured: it uses a DFT-relaxed cell (GGA-PBE, the Materials Project) and Cu Kα, 1.54184 Å.
No peak broadening, texture or thermal motion is included.

Atomic structure:
```
data_ErCu2Si2
_symmetry_space_group_name_H-M 'I 4/m m m'
_symmetry_Int_Tables_number 139
_symmetry_space_group_name_Hall '-I 4 2'
_cell_length_a 3.942
_cell_length_b 3.942
_cell_length_c 10.000
_cell_angle_alpha 90.00
_cell_angle_beta 90.00
_cell_angle_gamma 90.00
loop_
_atom_site_label
_atom_site_type_symbol
_atom_site_fract_x
_atom_site_fract_y
_atom_site_fract_z
_atom_site_occupancy
Er1 Er 0.000 0.000 0.000 1
Cu1 Cu 0.000 0.500 0.250 1
Si1 Si 0.000 0.000 0.383 1
```

Principal peaks in the range 2θ = 15–90°, in order of rising 2θ:
2θ (°)	I (rel.)	h k l
24.3	45	1 0 1
35.3	47	1 0 3
35.9	17	0 0 4
36.9	100	1 1 2
46.0	36	2 0 0
51.2	19	1 0 5
59.3	21	2 1 3
59.7	15	2 0 4
65.2	15	1 1 6
79.2	20	3 1 2

Entry 4:
Diffraction record for CsSrMg6. The PXRD pattern is simulated, not measured: it uses a DFT-relaxed cell (GGA-PBE, the Materials Project) and Cu Kα, 1.54184 Å.
No peak broadening, texture or thermal motion is included.

Atomic structure:
```
data_CsSrMg6
_symmetry_space_group_name_H-M 'A m m 2'
_symmetry_Int_Tables_number 38
_symmetry_space_group_name_Hall 'A 2 -2'
_cell_length_a 5.548
_cell_length_b 7.317
_cell_length_c 12.529
_cell_angle_alpha 90.00
_cell_angle_beta 90.00
_cell_angle_gamma 90.00
loop_
_atom_site_label
_atom_site_type_symbol
_atom_site_fract_x
_atom_site_fract_y
_atom_site_fract_z
_atom_site_occupancy
Cs1 Cs 0.000 0.000 0.000 1
Sr1 Sr 0.500 0.000 0.183 1
Mg1 Mg 0.000 0.000 0.508 1
Mg2 Mg 0.000 0.238 0.758 1
Mg3 Mg 0.500 0.000 0.674 1
Mg4 Mg 0.500 0.219 0.424 1
```

Principal peaks in the range 2θ = 15–90°, in order of rising 2θ:
2θ (°)	I (rel.)	h k l
21.4	65	1 0 2
28.2	20	0 2 2
28.5	16	0 0 4
29.4	32	1 1 3
32.3	33	2 0 0
32.6	100	1 2 2
32.8	41	1 0 4
50.3	24	0 2 6
57.8	19	3 2 2
61.0	31	2 2 6

Entry 5:
Diffraction record for V9Ga4Fe3. The PXRD pattern is simulated, not measured: it uses a DFT-relaxed cell (GGA-PBE, the Materials Project) and Cu Kα, 1.54184 Å.
No peak broadening, texture or thermal motion is included.

Atomic structure:
```
data_V9Ga4Fe3
_symmetry_space_group_name_H-M 'P 1 m 1'
_symmetry_Int_Tables_number 6
_symmetry_space_group_name_Hall 'P -2y'
_cell_length_a 4.700
_cell_length_b 4.665
_cell_length_c 9.416
_cell_angle_alpha 90.00
_cell_angle_beta 90.30
_cell_angle_gamma 90.00
loop_
_atom_site_label
_atom_site_type_symbol
_atom_site_fract_x
_atom_site_fract_y
_atom_site_fract_z
_atom_site_occupancy
V1 V 0.000 0.000 0.000 1
V2 V 0.001 0.000 0.496 1
V3 V 0.253 0.500 0.621 1
V4 V 0.502 0.250 0.370 1
V5 V 0.506 0.250 0.874 1
V6 V 0.751 0.500 0.621 1
V7 V 0.761 0.500 0.120 1
Ga1 Ga 0.004 0.500 0.368 1
Ga2 Ga 0.005 0.500 0.872 1
Ga3 Ga 0.499 0.000 0.123 1
Ga4 Ga 0.503 0.000 0.622 1
Fe1 Fe 0.003 0.000 0.748 1
Fe2 Fe 0.004 0.000 0.246 1
Fe3 Fe 0.255 0.500 0.119 1
```

Principal peaks in the range 2θ = 15–90°, in order of rising 2θ:
2θ (°)	I (rel.)	h k l
38.3	66	2 0 0
38.6	36	0 2 0
42.9	32	1 0 -4
43.1	100	2 1 0
43.3	63	1 2 0
47.3	74	1 1 -4
47.5	73	1 1 4
47.6	68	1 2 2
75.9	24	3 1 4
76.0	25	1 3 -4

Entry 6:
Diffraction record for Bi5BrO7. The PXRD pattern is simulated, not measured: it uses a DFT-relaxed cell (GGA-PBE, the Materials Project) and Cu Kα, 1.54184 Å.
No peak broadening, texture or thermal motion is included.

Atomic structure:
```
data_Bi5BrO7
_symmetry_space_group_name_H-M 'C m c e'
_symmetry_Int_Tables_number 64
_symmetry_space_group_name_Hall '-C 2ac 2'
_cell_length_a 16.475
_cell_length_b 5.443
_cell_length_c 23.774
_cell_angle_alpha 90.00
_cell_angle_beta 90.00
_cell_angle_gamma 90.00
loop_
_atom_site_label
_atom_site_type_symbol
_atom_site_fract_x
_atom_site_fract_y
_atom_site_fract_z
_atom_site_occupancy
Bi1 Bi 0.000 0.216 0.202 1
Bi2 Bi 0.172 0.214 0.561 1
Bi3 Bi 0.175 0.190 0.309 1
Br1 Br 0.000 0.181 0.395 1
O1 O 0.082 0.028 0.747 1
O2 O 0.191 0.198 0.650 1
O3 O 0.204 0.166 0.450 1
O4 O 0.250 0.020 0.750 1
```

Principal peaks in the range 2θ = 15–90°, in order of rising 2θ:
2θ (°)	I (rel.)	h k l
27.5	100	3 1 4
30.1	17	0 0 8
32.6	20	6 0 0
32.9	14	0 2 0
44.9	13	6 0 8
45.2	10	0 2 8
47.0	12	6 2 0
51.9	13	3 1 12
55.1	15	9 1 4
56.8	15	6 2 8

Entry 7:
Diffraction record for CaUI6. The PXRD pattern is simulated, not measured: it uses a DFT-relaxed cell (GGA-PBE, the Materials Project) and Cu Kα, 1.54184 Å.
No peak broadening, texture or thermal motion is included.

Atomic structure:
```
data_CaUI6
_symmetry_space_group_name_H-M 'P -3 1 c'
_symmetry_Int_Tables_number 163
_symmetry_space_group_name_Hall '-P 3 2c'
_cell_length_a 7.6628
_cell_length_b 7.6628
_cell_length_c 14.1534
_cell_angle_alpha 90.00
_cell_angle_beta 90.00
_cell_angle_gamma 120.00
loop_
_atom_site_label
_atom_site_type_symbol
_atom_site_fract_x
_atom_site_fract_y
_atom_site_fract_z
_atom_site_occupancy
Ca1 Ca 0.3333 0.6667 0.2500 1
U1 U 0.0000 0.0000 0.0000 1
I1 I 0.0037 0.3227 0.8762 1
```

Principal peaks in the range 2θ = 15–90°, in order of rising 2θ:
2θ (°)	I (rel.)	h k l
18.3	32	1 0 2
26.5	100	1 1 2
34.5	46	1 1 4
38.1	12	2 1 2
40.8	35	3 0 0
45.1	24	2 -1 6
49.3	17	4 -2 2
54.5	12	4 -2 4
65.8	14	4 1 2
67.8	15	3 0 8

Entry 8:
Diffraction record for Rb3Sb. The PXRD pattern is simulated, not measured: it uses a DFT-relaxed cell (GGA-PBE, the Materials Project) and Cu Kα, 1.54184 Å.
No peak broadening, texture or thermal motion is included.

Atomic structure:
```
data_Rb3Sb
_symmetry_space_group_name_H-M 'P 63/m m c'
_symmetry_Int_Tables_number 194
_symmetry_space_group_name_Hall '-P 6c 2c'
_cell_length_a 6.4305
_cell_length_b 6.4305
_cell_length_c 11.3839
_cell_angle_alpha 90.00
_cell_angle_beta 90.00
_cell_angle_gamma 120.00
loop_
_atom_site_label
_atom_site_type_symbol
_atom_site_fract_x
_atom_site_fract_y
_atom_site_fract_z
_atom_site_occupancy
Rb1 Rb 0.0000 0.0000 0.2500 1
Rb2 Rb 0.3333 0.6667 0.0808 1
Sb1 Sb 0.3333 0.6667 0.7500 1
```

Principal peaks in the range 2θ = 15–90°, in order of rising 2θ:
2θ (°)	I (rel.)	h k l
27.7	100	1 1 0
28.5	84	1 0 3
32.0	13	1 1 2
40.2	33	2 0 3
49.1	20	3 0 0
49.5	35	2 1 3
56.3	26	1 1 6
57.3	13	2 2 0
65.2	15	3 1 3
71.0	13	3 0 6

Entry 9:
Diffraction record for Te8MoW3. The PXRD pattern is simulated, not measured: it uses a DFT-relaxed cell (GGA-PBE, the Materials Project) and Cu Kα, 1.54184 Å.
No peak broadening, texture or thermal motion is included.

Atomic structure:
```
data_Te8MoW3
_symmetry_space_group_name_H-M 'P 3 m 1'
_symmetry_Int_Tables_number 156
_symmetry_space_group_name_Hall 'P 3 -2"'
_cell_length_a 3.5550
_cell_length_b 3.5550
_cell_length_c 40.1268
_cell_angle_alpha 90.00
_cell_angle_beta 90.00
_cell_angle_gamma 120.00
loop_
_atom_site_label
_atom_site_type_symbol
_atom_site_fract_x
_atom_site_fract_y
_atom_site_fract_z
_atom_site_occupancy
Te1 Te 0.0000 0.0000 0.0000 1
Te2 Te 0.0000 0.0000 0.0904 1
Te3 Te 0.0000 0.0000 0.3757 1
Te4 Te 0.0000 0.0000 0.4662 1
Te5 Te 0.3333 0.6667 0.1878 1
Te6 Te 0.3333 0.6667 0.2783 1
Te7 Te 0.3333 0.6667 0.8121 1
Te8 Te 0.3333 0.6667 0.9026 1
Mo1 Mo 0.3333 0.6667 0.0452 1
W1 W 0.0000 0.0000 0.2330 1
W2 W 0.0000 0.0000 0.8573 1
W3 W 0.3333 0.6667 0.4209 1
```

Principal peaks in the range 2θ = 15–90°, in order of rising 2θ:
2θ (°)	I (rel.)	h k l
29.0	42	1 0 0
31.1	15	1 0 5
34.2	100	1 0 8
41.4	66	1 0 13
43.1	20	1 0 14
51.4	39	1 1 0
63.2	17	0 2 8
68.1	15	2 0 13
72.6	19	1 1 21
85.7	15	2 1 8